This entry pairs a crystal structure of NaPd2Se with its theoretical powder diffractogram. Radiation: Cu Kα. Structure: a crystal structure in Alexandria, relaxed with PBE.

Crystal structure
```
16
Lattice="4.3287 0.0000 0.0000 0.0000 9.8230 0.0000 0.0000 0.0000 7.1978" Properties=species:S:1:pos:R:3 pbc="T T T"
Na 0.0000 0.6263 1.7994
Na 0.0000 9.1967 5.3983
Na 2.1644 4.2852 5.3983
Na 2.1644 5.5378 1.7994
Pd 0.0000 3.3829 0.4096
Pd 0.0000 3.3829 3.1892
Pd 0.0000 6.4402 4.0085
Pd 0.0000 6.4402 6.7881
Pd 2.1644 1.5286 4.0085
Pd 2.1644 1.5286 6.7881
Pd 2.1644 8.2944 0.4096
Pd 2.1644 8.2944 3.1892
Se 0.0000 2.1591 5.3983
Se 0.0000 7.6639 1.7994
Se 2.1644 2.7524 1.7994
Se 2.1644 7.0706 5.3983
```

Principal peaks in the range 2θ from 10° to 90°, sorted by position:
2θ (°)	I_rel
18.06	96.2
21.91	42.9
22.44	41.6
33.65	70.0
34.34	62.8
36.60	45.2
41.73	58.9
42.78	80.4
44.13	100.0
77.84	32.5



This entry pairs a crystal structure of HfAl5Ga with its theoretical powder diffractogram. Radiation: Cu Kα. Structure: a crystal structure in Alexandria, relaxed with PBE.

Crystal structure
```
14
Lattice="5.3812 0.0000 0.0000 0.0000 6.5441 0.0000 0.0000 0.0000 7.8212" Properties=species:S:1:pos:R:3 pbc="T T T"
Hf 0.0000 0.0000 0.0000
Hf 2.6906 3.2720 3.9106
Al 0.0000 0.0000 2.7316
Al 0.0000 2.0462 5.8910
Al 0.0000 4.4979 5.8910
Al 1.2805 3.2720 1.0078
Al 1.4101 0.0000 4.9185
Al 2.6906 1.2259 1.9804
Al 2.6906 3.2720 6.6423
Al 2.6906 5.3182 1.9804
Al 3.9711 0.0000 4.9185
Al 4.1007 3.2720 1.0078
Ga 0.0000 3.2720 3.3782
Ga 2.6906 0.0000 7.2888
```

Principal peaks in the range 2θ from 10° to 90°, sorted by position:
2θ (°)	I_rel
17.67	100.0
27.25	43.6
31.41	28.4
33.30	23.2
34.06	20.2
35.78	31.6
37.12	37.8
37.94	60.9
38.37	20.0
49.68	32.4



This entry pairs a crystal structure of Ce2MgGePt6 with its theoretical powder diffractogram. Radiation: Cu Kα. Structure: a crystal structure in Alexandria, relaxed with PBE.

Crystal structure
```
10
Lattice="5.4651 0.0000 0.0000 2.7323 5.8702 0.0000 2.7315 -0.0448 6.3576" Properties=species:S:1:pos:R:3 pbc="T T T"
Ce 2.7325 1.2295 1.8833
Ce 8.1964 4.5959 4.4743
Mg 5.4644 2.9127 3.1788
Ge 0.0000 0.0000 0.0000
Pt 4.0935 4.5198 1.6544
Pt 5.4583 3.4238 5.7543
Pt 4.0886 1.3031 4.6963
Pt 6.8402 4.5222 1.6613
Pt 5.4706 2.4016 0.6033
Pt 6.8353 1.3056 4.7033
```

Principal peaks in the range 2θ from 10° to 90°, sorted by position:
2θ (°)	I_rel
20.52	31.4
27.66	30.1
28.07	25.5
28.90	19.0
30.46	19.1
39.03	100.0
42.05	33.1
42.49	21.9
43.68	16.5
45.37	27.1



This entry pairs a crystal structure of Tl5As2Se6 with its theoretical powder diffractogram. Radiation: Cu Kα. Structure: a crystal structure in Alexandria, relaxed with PBE.

Crystal structure
```
26
Lattice="4.8350 0.0000 0.0000 0.0000 13.1313 0.0000 -0.0167 0.0000 13.4939" Properties=species:S:1:pos:R:3 pbc="T T T"
Tl 0.0000 0.0000 0.0000
Tl -0.0084 6.5657 6.7469
Tl 0.0119 1.2074 10.2658
Tl 0.0175 1.9746 5.8771
Tl 0.0092 4.5910 12.6241
Tl 0.0203 5.3583 3.5189
Tl 4.7981 7.7731 9.9750
Tl 4.8092 8.5403 0.8698
Tl 4.8008 11.1567 7.6168
Tl 4.8064 11.9239 3.2281
As 2.3897 9.5217 5.1525
As 2.3814 10.1753 11.8994
As 2.4369 2.9560 1.5945
As 2.4286 3.6096 8.3414
Se 0.0207 2.4064 2.3841
Se 0.0123 4.1593 9.1310
Se 2.3807 7.7730 12.0345
Se 2.3891 11.9240 5.2875
Se 2.3948 8.8890 7.4767
Se 2.4032 10.8080 0.7298
Se 2.4152 2.3234 12.7641
Se 2.4235 4.2423 6.0172
Se 2.4292 1.2073 8.2064
Se 2.4376 5.3583 1.4594
Se 4.8060 8.9721 4.3629
Se 4.7976 10.7249 11.1098
```

Principal peaks in the range 2θ from 10° to 90°, sorted by position:
2θ (°)	I_rel
18.35	73.9
23.98	41.0
27.97	47.6
28.29	100.0
30.35	83.4
30.38	74.6
32.36	50.8
34.07	42.6
37.19	75.0
47.51	45.1



This entry pairs a crystal structure of PaFeB2Ir2 with its theoretical powder diffractogram. Radiation: Cu Kα. Structure: a crystal structure in Alexandria, relaxed with PBE.

Crystal structure
```
12
Lattice="3.8440 0.0000 0.0000 0.0000 3.8440 0.0000 0.0000 0.0000 11.4862" Properties=species:S:1:pos:R:3 pbc="T T T"
Pa 0.0000 0.0000 0.0000
Pa 1.9220 1.9220 5.7431
Fe 0.0000 0.0000 5.7431
Fe 1.9220 1.9220 0.0000
B 0.0000 0.0000 3.7734
B 0.0000 0.0000 7.7128
B 1.9220 1.9220 1.9697
B 1.9220 1.9220 9.5165
Ir 0.0000 1.9220 2.8716
Ir 0.0000 1.9220 8.6147
Ir 1.9220 0.0000 2.8716
Ir 1.9220 0.0000 8.6147
```

Principal peaks in the range 2θ from 10° to 90°, sorted by position:
2θ (°)	I_rel
24.42	15.8
31.15	38.5
33.02	11.1
36.57	100.0
47.29	26.1
57.72	27.4
59.02	27.0
77.74	11.6
80.82	20.9
84.17	9.5



This entry pairs a crystal structure of Tb2Nd3In7 with its theoretical powder diffractogram. Radiation: Cu Kα. Structure: a crystal structure in Alexandria, relaxed with PBE.

Crystal structure
```
12
Lattice="2.6172 -12.5455 0.0000 2.6172 12.5455 0.0000 0.0000 0.0000 5.4733" Properties=species:S:1:pos:R:3 pbc="T T T"
Tb 2.6172 8.9310 0.0000
Tb 2.6172 -8.9310 0.0000
Nd 2.6172 3.9820 2.7367
Nd 2.6172 0.0000 2.7367
Nd 2.6172 -3.9820 2.7367
In 0.0000 0.0000 0.0000
In 2.6172 10.5495 2.7367
In 2.6172 5.7001 0.0000
In 2.6172 1.8675 0.0000
In 2.6172 -1.8675 0.0000
In 2.6172 -5.7001 0.0000
In 2.6172 -10.5495 2.7367
```

Principal peaks in the range 2θ from 10° to 90°, sorted by position:
2θ (°)	I_rel
25.85	7.3
29.57	16.4
32.72	33.8
34.26	29.9
34.47	100.0
48.11	22.7
59.54	20.2
61.49	18.3
72.68	6.8
80.80	8.5



This entry pairs a crystal structure of Ba5SrP4 with its theoretical powder diffractogram. Radiation: Cu Kα. Structure: a crystal structure in Alexandria, relaxed with PBE.

Crystal structure
```
10
Lattice="10.4439 -2.3536 0.0000 10.4439 2.3536 0.0000 -3.7410 0.0000 8.0194" Properties=species:S:1:pos:R:3 pbc="T T T"
Ba 0.0000 0.0000 0.0000
Ba 6.5959 0.0000 0.8724
Ba 4.9003 0.0000 4.4974
Ba 12.2464 0.0000 3.5219
Ba 10.5508 0.0000 7.1470
Sr -1.8705 0.0000 4.0097
P 1.7367 0.0000 5.7002
P 9.4960 0.0000 2.0409
P 7.6507 0.0000 5.9785
P 15.4100 0.0000 2.3192
```

Principal peaks in the range 2θ from 10° to 90°, sorted by position:
2θ (°)	I_rel
22.18	32.7
23.58	100.0
27.60	35.6
28.08	98.4
28.29	50.5
36.61	50.0
38.24	26.1
43.69	24.3
47.65	22.6
48.24	22.6



This entry pairs a crystal structure of Nd2IBr5 with its theoretical powder diffractogram. Radiation: Cu Kα. Structure: a crystal structure in Alexandria, relaxed with PBE.

Crystal structure
```
16
Lattice="4.9380 0.0000 0.0000 0.0000 8.9304 0.0000 0.0000 0.0000 11.7144" Properties=species:S:1:pos:R:3 pbc="T T T"
Nd 0.0000 0.0000 2.8527
Nd 0.0000 0.0000 8.8618
Nd 2.4690 4.4652 3.0045
Nd 2.4690 4.4652 8.7099
I 0.0000 4.4652 0.0000
I 2.4690 0.0000 5.8572
Br 0.0000 0.0000 0.0000
Br 0.0000 2.7895 3.9312
Br 0.0000 2.7895 7.7832
Br 0.0000 6.1409 3.9312
Br 0.0000 6.1409 7.7832
Br 2.4690 1.6757 1.9260
Br 2.4690 1.6757 9.7884
Br 2.4690 4.4652 5.8572
Br 2.4690 7.2547 1.9260
Br 2.4690 7.2547 9.7884
```

Principal peaks in the range 2θ from 10° to 90°, sorted by position:
2θ (°)	I_rel
15.13	52.2
25.62	79.2
28.00	100.0
29.16	98.5
35.20	71.1
36.39	73.2
36.70	80.8
37.08	39.5
38.51	83.5
52.64	56.6